# MgFeCuS2
Calculated powder X-ray diffraction pattern, CuKα. Input: the PBE geometry in the Materials Project.
Kinematic intensities with the Lorentz-polarization factor, no thermal factor.

Crystal structure
Cell: 6.4091 3.7091 6.5390 Å, 90.00 90.07 90.00°
Space group Cm (No. 8)
One atom of each set of equivalent atoms:
Mg  0.0000  0.0000  0.0000 x2
Fe  0.1658  0.5000  0.3947 x2
Cu  0.3334  0.0000  0.6201 x2
S  0.1665  0.5000  0.7656 x2
S  0.3330  0.0000  0.2281 x2

Largest 10 diffraction maxima, by angle, 2θ from 10° to 90°:
d [Å], 2theta, I_rel, index
6.539, 13.5, 537, 0 0 1
3.208, 27.8, 396, 1 1 0
2.880, 31.0, 582, 1 1 1
2.290, 39.3, 1000, 2 0 2
1.852, 49.2, 686, 3 1 0
1.803, 50.6, 557, 2 0 -3
1.783, 51.2, 72, 3 1 -1
1.440, 64.7, 194, 2 2 2
1.292, 73.2, 141, 2 2 -3
1.138, 85.3, 111, 1 3 -2